Theoretical XRD peak list of Er2MnSnO6 for a wavelength of 1.5418 Å, from DFT lattice parameters and positions (GGA+U).
Kinematic intensities with the Lorentz-polarization factor, no thermal factor.

Structure:
Cell lengths 5.6006, 5.6006, 14.7727 Å; angles 90.00, 90.00, 120.00 degrees
Space group R3 (No. 146, hexagonal axes)
Inequivalent atoms, fractional coordinates:
Er  0.0000  0.0000  0.0000 (multiplicity 3)
Er  0.0000  0.0000  0.4979 (multiplicity 3)
Mn  0.0000  0.0000  0.2189 (multiplicity 3)
Sn  0.0000  0.0000  0.7094 (multiplicity 3)
O  0.0438  0.3477  0.7748 (multiplicity 9)
O  0.0523  0.6793  0.2785 (multiplicity 9)

Top 12 peaks for 10 to 90 degrees two-theta, in order of rising 2θ:
(hkl), 2θ/deg, d (Å), Rel. int.
0 1 2, 21.9, 4.054, 42.0
1 0 4, 30.4, 2.938, 100.0
1 1 0, 32.0, 2.800, 94.1
0 2 4, 44.7, 2.027, 40.5
2 -1 6, 49.3, 1.849, 38.2
0 1 8, 53.1, 1.726, 12.4
3 -1 4, 56.0, 1.642, 39.9
3 0 0, 57.0, 1.617, 28.2
1 0 10, 66.1, 1.413, 12.3
2 2 0, 66.8, 1.400, 12.3
1 3 4, 75.2, 1.264, 14.7
2 1 10, 84.2, 1.150, 12.1